[1]
Structure and calculated powder diffraction line list of Er2TeO6 (a DFT-relaxed cell (GGA-PBE, Alexandria); λ = 1.5418 Å (Cu Kα)).
Peak positions follow from Bragg's law for the DFT cell and can differ from measured ones.

Crystal structure
Lattice parameters (Å, degrees): 4.962 4.962 10.005 90.00 90.00 90.00
Positions (direct):
1 Er 0.000 0.000 0.165
2 Er 0.000 0.000 0.835
3 Er 0.500 0.500 0.335
4 Er 0.500 0.500 0.665
5 Te 0.000 0.000 0.500
6 Te 0.500 0.500 0.000
7 O 0.184 0.184 0.353
8 O 0.184 0.184 0.647
9 O 0.220 0.220 0.000
10 O 0.280 0.720 0.500
11 O 0.316 0.684 0.147
12 O 0.316 0.684 0.853
13 O 0.684 0.316 0.147
14 O 0.684 0.316 0.853
15 O 0.720 0.280 0.500
16 O 0.780 0.780 0.000
17 O 0.816 0.816 0.353
18 O 0.816 0.816 0.647

The 10 most intense peaks (10 to 80 degrees two-theta), most intense first:
2θ/deg, I/Imax
25.38, 100.0
32.34, 87.6
49.33, 68.0
36.21, 26.1
62.70, 19.4
58.85, 16.6
61.58, 16.5
52.14, 16.4
74.60, 15.2
67.70, 9.7

[2]
Structure and calculated powder diffraction line list of B2IrPt3 (a DFT-relaxed cell (GGA-PBE, Alexandria); λ = 1.5418 Å (Cu Kα)).
Peak positions follow from Bragg's law for the DFT cell and can differ from measured ones.

Crystal structure
Lattice parameters (Å, degrees): 6.448 6.448 8.004 112.43 112.43 31.21
Positions (direct):
1 B 0.111 0.111 0.425
2 B 0.372 0.372 0.144
3 B 0.628 0.628 0.856
4 B 0.889 0.889 0.575
5 Ir 0.071 0.071 0.685
6 Ir 0.929 0.929 0.315
7 Pt 0.179 0.179 0.052
8 Pt 0.297 0.297 0.419
9 Pt 0.439 0.439 0.802
10 Pt 0.561 0.561 0.198
11 Pt 0.703 0.703 0.581
12 Pt 0.821 0.821 0.948

The 10 most intense peaks (10 to 80 degrees two-theta), most intense first:
2θ/deg, I/Imax
33.84, 100.0
43.30, 36.5
53.52, 18.0
44.13, 16.5
73.38, 13.9
47.05, 13.7
71.19, 11.8
52.77, 10.8
64.19, 10.5
72.76, 7.4

[3]
Structure and calculated powder diffraction line list of Rb2NpI5 (a DFT-relaxed cell (GGA-PBE, Alexandria); λ = 1.5418 Å (Cu Kα)).
Peak positions follow from Bragg's law for the DFT cell and can differ from measured ones.

Crystal structure
Lattice parameters (Å, degrees): 15.072 10.067 9.431 90.00 90.00 90.00
Positions (direct):
1 Rb 0.172 0.007 0.066
2 Rb 0.172 0.493 0.066
3 Rb 0.328 0.507 0.566
4 Rb 0.328 0.993 0.566
5 Rb 0.672 0.007 0.434
6 Rb 0.672 0.493 0.434
7 Rb 0.828 0.507 0.934
8 Rb 0.828 0.993 0.934
9 Np 0.002 0.250 0.572
10 Np 0.498 0.750 0.072
11 Np 0.502 0.250 0.928
12 Np 0.998 0.750 0.428
13 I 0.009 0.250 0.915
14 I 0.072 0.544 0.663
15 I 0.072 0.956 0.663
16 I 0.179 0.250 0.389
17 I 0.201 0.750 0.346
18 I 0.299 0.250 0.846
19 I 0.321 0.750 0.889
20 I 0.428 0.044 0.163
21 I 0.428 0.456 0.163
22 I 0.491 0.750 0.415
23 I 0.509 0.250 0.585
24 I 0.572 0.544 0.837
25 I 0.572 0.956 0.837
26 I 0.679 0.250 0.111
27 I 0.701 0.750 0.154
28 I 0.799 0.250 0.654
29 I 0.821 0.750 0.611
30 I 0.928 0.044 0.337
31 I 0.928 0.456 0.337
32 I 0.991 0.750 0.085

The 10 most intense peaks (10 to 80 degrees two-theta), most intense first:
2θ/deg, I/Imax
26.57, 100.0
11.07, 82.2
25.46, 68.1
35.69, 63.3
28.51, 56.6
32.10, 52.9
29.62, 50.0
11.74, 46.8
36.01, 44.4
25.91, 33.7